Record 1
The following is a calculated XRD peak list of CeHIBr. It was derived from a crystal structure in Alexandria, relaxed with PBE, using a wavelength of 1.5418 Å.
Intensities are scaled so that the largest is 100.

Structural model:
```
data_CeHIBr
_chemical_formula_sum 'Ce2 H2 I2 Br2'
_cell_length_a 7.100
_cell_length_b 4.099
_cell_length_c 8.212
_cell_angle_alpha 90.00
_cell_angle_beta 106.86
_cell_angle_gamma 90.00
_symmetry_space_group_name_H-M 'C 1 m 1'
_symmetry_Int_Tables_number 8
_symmetry_space_group_name_Hall 'C -2y'
loop_
_atom_site_label
_atom_site_fract_x
_atom_site_fract_y
_atom_site_fract_z
_atom_site_occupancy
Ce1 0.000 0.000 0.000 1
H1 0.331 0.000 0.994 1
I1 0.073 0.500 0.721 1
Br1 0.248 0.500 0.243 1
```

Principal peaks in the range 10° ≤ 2θ ≤ 80°, in order of rising 2θ:
hkl  d [Å]  2θ (°)  I/Imax
0 0 1  7.859  11.26  80.0
1 1 -1  3.399  26.22  56.6
1 1 1  3.041  29.37  74.4
2 0 1  2.836  31.55  100.0
2 0 -3  2.443  36.79  69.9
0 2 0  2.049  44.19  60.4


Record 2
The following is a calculated XRD peak list of PrEuCdSn. It was derived from a crystal structure in Alexandria, relaxed with PBE, using a wavelength of 1.5418 Å.
Intensities are scaled so that the largest is 100.

Structural model:
```
data_PrEuCdSn
_chemical_formula_sum 'Pr4 Eu4 Cd4 Sn4'
_cell_length_a 7.803
_cell_length_b 7.803
_cell_length_c 7.803
_cell_angle_alpha 90.00
_cell_angle_beta 90.00
_cell_angle_gamma 90.00
_symmetry_space_group_name_H-M 'F -4 3 m'
_symmetry_Int_Tables_number 216
_symmetry_space_group_name_Hall 'F -4 2 3'
loop_
_atom_site_label
_atom_site_fract_x
_atom_site_fract_y
_atom_site_fract_z
_atom_site_occupancy
Pr1 0.000 0.000 0.000 1
Eu1 0.000 0.000 0.500 1
Cd1 0.250 0.250 0.250 1
Sn1 0.250 0.250 0.750 1
```

Principal peaks in the range 10° ≤ 2θ ≤ 80°, in order of rising 2θ:
hkl  d [Å]  2θ (°)  I/Imax
2 0 0  3.902  22.79  1.4
2 2 0  2.759  32.45  100.0
4 0 0  1.951  46.55  18.3
4 2 2  1.593  57.89  38.1
4 4 0  1.379  67.96  11.8
6 2 0  1.234  77.34  16.5


Record 3
The following is a calculated XRD peak list of Nd3Ni4. It was derived from a crystal structure in Alexandria, relaxed with PBE, using a wavelength of 1.5418 Å.
Intensities are scaled so that the largest is 100.

Structural model:
```
data_Nd3Ni4
_chemical_formula_sum 'Nd12 Ni16'
_cell_length_a 9.876
_cell_length_b 4.207
_cell_length_c 13.326
_cell_angle_alpha 90.00
_cell_angle_beta 90.00
_cell_angle_gamma 90.00
_symmetry_space_group_name_H-M 'C 1 m 1'
_symmetry_Int_Tables_number 8
_symmetry_space_group_name_Hall 'C -2y'
loop_
_atom_site_label
_atom_site_fract_x
_atom_site_fract_y
_atom_site_fract_z
_atom_site_occupancy
Nd1 0.000 0.000 0.000 1
Nd2 0.000 0.000 0.296 1
Nd3 0.213 0.500 0.148 1
Nd4 0.237 0.500 0.648 1
Nd5 0.450 0.000 0.500 1
Nd6 0.451 0.000 0.796 1
Ni1 0.033 0.000 0.648 1
Ni2 0.162 0.000 0.483 1
Ni3 0.162 0.000 0.814 1
Ni4 0.224 0.500 0.399 1
Ni5 0.225 0.500 0.898 1
Ni6 0.288 0.000 0.314 1
Ni7 0.289 0.000 0.982 1
Ni8 0.418 0.000 0.148 1
```

Principal peaks in the range 10° ≤ 2θ ≤ 80°, in order of rising 2θ:
hkl  d [Å]  2θ (°)  I/Imax
1 1 3  2.918  30.64  100.0
2 0 4  2.762  32.42  59.7
3 1 0  2.593  34.60  51.1
1 1 4  2.525  35.55  65.3
3 1 3  2.239  40.28  74.3
0 2 0  2.104  43.00  56.4


Record 4
The following is a calculated XRD peak list of PmYAl. It was derived from a crystal structure in Alexandria, relaxed with PBE, using a wavelength of 1.5418 Å.
Intensities are scaled so that the largest is 100.

Structural model:
```
data_PmYAl
_chemical_formula_sum 'Pm2 Y2 Al2'
_cell_length_a 5.3474
_cell_length_b 5.3474
_cell_length_c 6.6686
_cell_angle_alpha 90.00
_cell_angle_beta 90.00
_cell_angle_gamma 120.00
_symmetry_space_group_name_H-M 'P 63/m m c'
_symmetry_Int_Tables_number 194
_symmetry_space_group_name_Hall '-P 6c 2c'
loop_
_atom_site_label
_atom_site_fract_x
_atom_site_fract_y
_atom_site_fract_z
_atom_site_occupancy
Pm1 0.0000 0.0000 0.0000 1
Y1 0.3333 0.6667 0.2500 1
Al1 0.3333 0.6667 0.7500 1
```

Principal peaks in the range 10° ≤ 2θ ≤ 80°, in order of rising 2θ:
hkl  d [Å]  2θ (°)  I/Imax
1 0 0  4.631  19.17  34.3
1 0 2  2.706  33.11  100.0
1 1 0  2.674  33.52  80.0
2 0 2  1.902  47.83  35.4
2 1 2  1.550  59.66  36.4
1 1 4  1.415  66.04  21.9


Record 5
The following is a calculated XRD peak list of Pr2HoSb3Rh4. It was derived from a crystal structure in Alexandria, relaxed with PBE, using a wavelength of 1.5418 Å.
Intensities are scaled so that the largest is 100.

Structural model:
```
data_Pr2HoSb3Rh4
_chemical_formula_sum 'Pr2 Ho1 Sb3 Rh4'
_cell_length_a 4.425
_cell_length_b 4.425
_cell_length_c 11.369
_cell_angle_alpha 90.00
_cell_angle_beta 90.00
_cell_angle_gamma 90.00
_symmetry_space_group_name_H-M 'P -4 m 2'
_symmetry_Int_Tables_number 115
_symmetry_space_group_name_Hall 'P -4 -2'
loop_
_atom_site_label
_atom_site_fract_x
_atom_site_fract_y
_atom_site_fract_z
_atom_site_occupancy
Pr1 0.000 0.500 0.228 1
Ho1 0.000 0.000 0.500 1
Sb1 0.000 0.500 0.870 1
Sb2 0.500 0.500 0.500 1
Rh1 0.000 0.000 0.000 1
Rh2 0.000 0.500 0.644 1
Rh3 0.500 0.500 0.000 1
```

Principal peaks in the range 10° ≤ 2θ ≤ 80°, in order of rising 2θ:
hkl  d [Å]  2θ (°)  I/Imax
1 0 3  2.879  31.07  42.2
1 1 2  2.741  32.67  100.0
2 0 0  2.213  40.78  59.4
1 1 4  2.104  42.99  31.1
1 0 5  2.023  44.81  23.2
3 1 2  1.359  69.13  22.4